Simulated powder diffractogram
Compound: Li2CoH8C2O10
Radiation: Cu Kα X-rays
Structure: the GGA+U geometry in Alexandria
No peak broadening, texture or thermal motion is included.

```
data_Li2CoH8C2O10
_space_group_name_H-M_alt 'C 1 2/c 1'
_space_group_IT_number 15
_cell_length_a 8.5030
_cell_length_b 6.7865
_cell_length_c 14.3598
_cell_angle_alpha 90.00
_cell_angle_beta 102.88
_cell_angle_gamma 90.00
loop_
_space_group_symop_operation_xyz
'x,y,z'
'-x,-y,-z'
'-x,y,-z+1/2'
'x,-y,z+1/2'
'x+1/2,y+1/2,z'
'-x+1/2,-y+1/2,-z'
'-x+1/2,y+1/2,-z+1/2'
'x+1/2,-y+1/2,z+1/2'
loop_
_atom_site_label
_atom_site_type_symbol
_atom_site_fract_x
_atom_site_fract_y
_atom_site_fract_z
Li1 Li 0.0740 0.1710 0.4578
Co1 Co 0.0000 0.4481 0.2500
H1 H 0.0602 0.1870 0.8873
H2 H 0.1247 0.1572 0.6332
H3 H 0.1595 0.4713 0.0500
H4 H 0.1912 0.4650 0.9451
C1 C 0.2173 0.2389 0.2013
O1 O 0.0233 0.1138 0.5885
O2 O 0.1018 0.3286 0.1398
O3 O 0.1658 0.3475 0.8279
O4 O 0.1973 0.4488 0.5012
O5 O 0.2089 0.2440 0.2895
```

Peak list (6 most intense, 10 to 80 degrees two-theta, in order of falling intensity)
d_spacing	two_theta	I_rel	(hkl)
6.999	12.6	100	0 0 2
4.518	19.7	81	1 1 -2
5.251	16.9	76	1 1 0
2.581	34.8	66	2 2 -2
2.259	39.9	58	2 0 -6
3.266	27.3	45	1 1 3